Theoretical XRD peak list
Compound: CsHfAu3Se4
Radiation: Cu Kα (λ = 1.5418 Å)
Structure: DFT lattice parameters and positions (PBE)
Intensities are scaled so that the largest is 100.

Structure:
Cell: 6.5492 6.5492 6.5492 Å, 90.00 90.00 90.00°
Space group P-43m (No. 215)
Unique sites:
1 Cs 0.0000 0.0000 0.0000 x1
2 Hf 0.5000 0.5000 0.5000 x1
3 Au 0.0000 0.5000 0.5000 x3
4 Se 0.2793 0.2793 0.2793 x4

Top 10 peaks for 2θ from 15° to 90°, low angle first:
d [Å], I_rel, h k l
3.781, 69, 1 1 1
3.275, 33, 2 0 0
2.315, 100, 2 2 0
2.183, 11, 2 2 1
1.975, 34, 3 1 1
1.816, 11, 3 2 0
1.637, 16, 4 0 0
1.502, 13, 3 3 1
1.464, 16, 4 2 0
1.337, 31, 4 2 2

---

Theoretical XRD peak list
Compound: SmSiNiGe2
Radiation: Cu Kα (λ = 1.5418 Å)
Structure: DFT lattice parameters and positions (PBE)
Intensities are scaled so that the largest is 100.

Structure:
Cell: 4.0717 21.5572 4.1231 Å, 90.00 90.00 90.00°
Space group Cmmm (No. 65)
Unique sites:
1 Sm 0.0000 0.1712 0.0000 x4
2 Si 0.0000 0.2812 0.5000 x4
3 Ni 0.0000 0.3862 0.5000 x4
4 Ge 0.0000 0.0578 0.5000 x4
5 Ge 0.0000 0.4421 0.0000 x4

Top 10 peaks for 2θ from 15° to 90°, low angle first:
d [Å], I_rel, h k l
5.389, 12, 0 4 0
2.960, 13, 1 5 0
2.709, 21, 0 6 1
2.688, 100, 1 3 1
2.110, 16, 1 7 1
2.063, 38, 0 0 2
2.036, 21, 2 0 0
1.624, 14, 2 8 0
1.449, 14, 2 0 2
1.281, 13, 1 3 3